# AcTbPr2Y
Simulated powder diffraction line list, Cu Kα (λ = 1.5418 Å). Input: the GGA-PBE geometry in Alexandria.
Peak positions follow from Bragg's law for the DFT cell and can differ from measured ones.

Crystal structure
```
AcTbPr2Y
1.0
6.525 0.000 0.000
0.000 5.952 0.000
-3.250 0.000 9.411
Ac Tb Pr Y
2 2 4 2
Cartesian
0.538 1.488 2.812
2.737 4.464 6.599
-2.669 1.488 8.477
5.944 4.464 0.934
-0.567 4.464 8.523
0.524 1.488 6.600
2.751 4.464 2.811
3.842 1.488 0.888
-0.578 4.464 4.708
3.853 1.488 4.703
```

Principal peaks in the range 2θ from 5° to 70°, low angle first:
(hkl), 2θ/deg, intensity
1 1 0, 20.7, 47
1 0 -3, 27.3, 236
0 2 0, 30.0, 248
2 1 -1, 31.3, 1000
1 2 -3, 41.1, 159
3 0 1, 48.3, 198
2 3 -1, 54.1, 214
3 2 1, 58.0, 231
2 1 -6, 58.7, 166
4 2 -2, 65.2, 41